Record 1
Theoretical powder XRD pattern
Compound: Tl3Sn2Pb4
Radiation: Cu Kα X-rays
Structure: the GGA-PBE geometry in Alexandria
Peak positions follow from Bragg's law for the DFT cell and can differ from measured ones.

Structure:
```
data_Tl3Sn2Pb4
_chemical_formula_sum 'Tl12 Sn8 Pb16'
_cell_length_a 16.7589
_cell_length_b 9.8351
_cell_length_c 6.6945
_cell_angle_alpha 90.00
_cell_angle_beta 90.05
_cell_angle_gamma 90.00
_symmetry_space_group_name_H-M 'C 1 2/c 1'
_symmetry_Int_Tables_number 15
loop_
_symmetry_equiv_pos_as_xyz
'x,y,z'
'-x,-y,-z'
'-x,y,-z+1/2'
'x,-y,z+1/2'
'x+1/2,y+1/2,z'
'-x+1/2,-y+1/2,-z'
'-x+1/2,y+1/2,-z+1/2'
'x+1/2,-y+1/2,z+1/2'
loop_
_atom_site_label
_atom_site_fract_x
_atom_site_fract_y
_atom_site_fract_z
Tl1 0.0000 0.0003 0.2500
Tl2 0.1673 0.4996 0.2501
Sn1 0.1725 0.1669 0.9998
Pb1 0.0070 0.3299 0.9999
Pb2 0.1660 0.1609 0.5001
```

Peak list (8 most intense, 2θ from 10° to 90°, sorted by position)
| hkl | two_theta | intensity |
| --- | --- | --- |
| 3 3 0 | 31.64 | 1000 |
| 6 0 0 | 32.04 | 477 |
| 0 2 2 | 32.35 | 433 |
| 3 1 2 | 32.48 | 877 |
| 0 4 2 | 45.79 | 177 |
| 6 2 2 | 46.18 | 323 |
| 9 3 0 | 56.90 | 279 |
| 3 3 4 | 64.73 | 269 |


Record 2
Theoretical powder XRD pattern
Compound: CdRh4W
Radiation: Cu Kα X-rays
Structure: the GGA-PBE geometry in Alexandria
Peak positions follow from Bragg's law for the DFT cell and can differ from measured ones.

Structure:
```
data_CdRh4W
_chemical_formula_sum 'Cd4 Rh16 W4'
_cell_length_a 7.2373
_cell_length_b 7.2373
_cell_length_c 7.2373
_cell_angle_alpha 90.00
_cell_angle_beta 90.00
_cell_angle_gamma 90.00
_symmetry_space_group_name_H-M 'F -4 3 m'
_symmetry_Int_Tables_number 216
_symmetry_space_group_name_Hall 'F -4 2 3'
loop_
_atom_site_label
_atom_site_fract_x
_atom_site_fract_y
_atom_site_fract_z
Cd1 0.0000 0.0000 0.0000
Rh1 0.1252 0.1252 0.3748
W1 0.2500 0.2500 0.7500
```

Peak list (8 most intense, 2θ from 10° to 90°, sorted by position)
| hkl | two_theta | intensity |
| --- | --- | --- |
| 2 2 0 | 35.07 | 388 |
| 3 1 1 | 41.38 | 1000 |
| 2 2 2 | 43.31 | 298 |
| 4 2 2 | 62.91 | 140 |
| 5 1 1 | 67.21 | 311 |
| 4 4 0 | 74.11 | 251 |
| 5 3 3 | 88.61 | 114 |
| 6 2 2 | 89.91 | 111 |